Entry 1:
The following is a theoretical powder diffraction line list of K2Tl3In2. It was derived from the GGA-PBE geometry in Alexandria, using Cu Kα X-rays.
Peak positions follow from Bragg's law for the DFT cell and can differ from measured ones.

Peak list (8 most intense, 2θ = 5–70°, by angle)
2θ = 17.3°, d 5.128, rel. 100.0
2θ = 18.9°, d 4.691, rel. 52.3
2θ = 27.6°, d 3.229, rel. 80.3
2θ = 28.1°, d 3.179, rel. 80.5
2θ = 34.1°, d 2.632, rel. 60.0
2θ = 38.6°, d 2.333, rel. 68.1
2θ = 39.1°, d 2.301, rel. 44.4
2θ = 39.6°, d 2.276, rel. 36.8

Crystal structure
Cell: 11.663 11.663 8.314 Å, 90.00 90.00 153.92°
Sites, in units of the cell vectors:
K 0.056 0.944 0.750
K 0.159 0.841 0.250
K 0.841 0.159 0.750
K 0.944 0.056 0.250
Tl 0.225 0.775 0.750
Tl 0.439 0.561 0.568
Tl 0.439 0.561 0.932
Tl 0.561 0.439 0.068
Tl 0.561 0.439 0.432
Tl 0.775 0.225 0.250
In 0.313 0.687 0.060
In 0.313 0.687 0.440
In 0.687 0.313 0.560
In 0.687 0.313 0.940

=====

Entry 2:
The following is a theoretical powder diffraction line list of KTl2In6. It was derived from the GGA-PBE geometry in Alexandria, using Cu Kα X-rays.
Peak positions follow from Bragg's law for the DFT cell and can differ from measured ones.

Peak list (8 most intense, 2θ = 5–70°, by angle)
2θ = 8.9°, d 9.917, rel. 20.5
2θ = 16.4°, d 5.402, rel. 38.7
2θ = 29.5°, d 3.026, rel. 24.7
2θ = 31.7°, d 2.820, rel. 23.9
2θ = 33.2°, d 2.701, rel. 73.8
2θ = 35.9°, d 2.500, rel. 100.0
2θ = 47.6°, d 1.910, rel. 26.5
2θ = 61.1°, d 1.518, rel. 43.2

Crystal structure
Cell: 5.402 5.402 9.917 Å, 90.00 90.00 90.00°
Sites, in units of the cell vectors:
K 0.000 0.000 0.000
Tl 0.500 0.500 0.158
Tl 0.500 0.500 0.842
In 0.000 0.000 0.500
In 0.000 0.500 0.323
In 0.000 0.500 0.677
In 0.500 0.000 0.323
In 0.500 0.000 0.677
In 0.500 0.500 0.500

=====

Entry 3:
The following is a theoretical powder diffraction line list of K2Tl8In3. It was derived from the GGA-PBE geometry in Alexandria, using Cu Kα X-rays.
Peak positions follow from Bragg's law for the DFT cell and can differ from measured ones.

Peak list (8 most intense, 2θ = 5–70°, by angle)
2θ = 14.8°, d 6.005, rel. 28.0
2θ = 29.2°, d 3.058, rel. 20.0
2θ = 30.9°, d 2.893, rel. 42.0
2θ = 31.3°, d 2.854, rel. 100.0
2θ = 36.7°, d 2.446, rel. 30.4
2θ = 38.8°, d 2.320, rel. 22.9
2θ = 39.5°, d 2.283, rel. 38.6
2θ = 49.3°, d 1.848, rel. 19.3

Crystal structure
Cell: 9.557 9.557 6.969 Å, 101.16 101.16 43.14°
Sites, in units of the cell vectors:
K 0.185 0.185 0.310
K 0.815 0.815 0.690
Tl 0.116 0.617 0.237
Tl 0.296 0.296 0.853
Tl 0.383 0.884 0.763
Tl 0.439 0.439 0.640
Tl 0.561 0.561 0.360
Tl 0.617 0.116 0.237
Tl 0.704 0.704 0.147
Tl 0.884 0.383 0.763
In 0.000 0.000 0.500
In 0.221 0.779 0.000
In 0.779 0.221 0.000

=====

Entry 4:
The following is a theoretical powder diffraction line list of K2Tl12In5. It was derived from the GGA-PBE geometry in Alexandria, using Cu Kα X-rays.
Peak positions follow from Bragg's law for the DFT cell and can differ from measured ones.

Peak list (8 most intense, 2θ = 5–70°, by angle)
2θ = 15.8°, d 5.625, rel. 38.5
2θ = 28.0°, d 3.192, rel. 25.3
2θ = 31.8°, d 2.814, rel. 100.0
2θ = 32.2°, d 2.777, rel. 14.8
2θ = 35.7°, d 2.517, rel. 89.6
2θ = 37.3°, d 2.411, rel. 13.8
2θ = 56.7°, d 1.625, rel. 23.6
2θ = 57.8°, d 1.596, rel. 12.2

Crystal structure
Cell: 8.598 8.598 8.598 Å, 81.72 81.72 81.72°
Sites, in units of the cell vectors:
K 0.163 0.163 0.163
K 0.837 0.837 0.837
Tl 0.146 0.146 0.642
Tl 0.146 0.642 0.146
Tl 0.206 0.500 0.794
Tl 0.206 0.794 0.500
Tl 0.358 0.854 0.854
Tl 0.500 0.206 0.794
Tl 0.500 0.794 0.206
Tl 0.642 0.146 0.146
Tl 0.794 0.206 0.500
Tl 0.794 0.500 0.206
Tl 0.854 0.358 0.854
Tl 0.854 0.854 0.358
In 0.000 0.500 0.500
In 0.404 0.404 0.404
In 0.500 0.000 0.500
In 0.500 0.500 0.000
In 0.596 0.596 0.596

=====

Entry 5:
The following is a theoretical powder diffraction line list of K3Tl9In2. It was derived from the GGA-PBE geometry in Alexandria, using Cu Kα X-rays.
Peak positions follow from Bragg's law for the DFT cell and can differ from measured ones.

Peak list (8 most intense, 2θ = 5–70°, by angle)
2θ = 14.4°, d 6.160, rel. 40.6
2θ = 18.3°, d 4.838, rel. 60.6
2θ = 29.1°, d 3.067, rel. 100.0
2θ = 30.3°, d 2.950, rel. 38.6
2θ = 34.1°, d 2.630, rel. 72.6
2θ = 34.3°, d 2.613, rel. 88.3
2θ = 37.4°, d 2.402, rel. 90.2
2θ = 56.8°, d 1.622, rel. 41.4

Crystal structure
Cell: 9.808 9.808 9.808 Å, 148.89 102.18 86.15°
Sites, in units of the cell vectors:
K 0.000 0.000 0.000
K 0.287 0.287 0.000
K 0.713 0.713 0.000
Tl 0.001 0.633 0.368
Tl 0.135 0.851 0.284
Tl 0.265 0.633 0.632
Tl 0.433 0.149 0.284
Tl 0.500 0.000 0.500
Tl 0.567 0.851 0.716
Tl 0.735 0.367 0.368
Tl 0.865 0.149 0.716
Tl 0.999 0.367 0.632
In 0.337 0.500 0.837
In 0.663 0.500 0.163

=====

Entry 6:
The following is a theoretical powder diffraction line list of KTlIn2. It was derived from the GGA-PBE geometry in Alexandria, using Cu Kα X-rays.
Peak positions follow from Bragg's law for the DFT cell and can differ from measured ones.

Peak list (8 most intense, 2θ = 5–70°, by angle)
2θ = 14.6°, d 6.085, rel. 47.2
2θ = 18.5°, d 4.798, rel. 53.4
2θ = 21.3°, d 4.170, rel. 51.0
2θ = 29.2°, d 3.060, rel. 85.4
2θ = 29.8°, d 2.995, rel. 100.0
2θ = 33.2°, d 2.699, rel. 72.7
2θ = 36.0°, d 2.494, rel. 71.7
2θ = 39.2°, d 2.300, rel. 80.2

Crystal structure
Cell: 6.657 6.657 7.801 Å, 90.00 90.00 132.17°
Sites, in units of the cell vectors:
K 0.086 0.914 0.750
K 0.914 0.086 0.250
Tl 0.209 0.791 0.250
Tl 0.791 0.209 0.750
In 0.378 0.622 0.555
In 0.378 0.622 0.945
In 0.622 0.378 0.055
In 0.622 0.378 0.445